(1)
This entry pairs a crystal structure of Sr4SiPd4 with its computed powder diffractogram. Radiation: λ = 1.5418 Å (Cu Kα). Structure: a DFT-relaxed cell (PBE, Alexandria).

Unit cell a=8.9085 b=8.9085 c=6.1704 alpha=90.00 beta=90.00 gamma=90.00
Space group P4_2/n (No. 86, origin choice 2)
One atom of each set of equivalent atoms:
Sr 0.0321 0.6872 0.1101 x8
Si 0.2500 0.2500 0.2500 x2
Pd 0.0356 0.3650 0.3968 x8

Main lines, sorted by position (2θ = 15–90°):
Position (°2θ), d [Å], I/Imax, hkl
19.93, 4.454, 19, 2 0 0
20.14, 4.408, 18, 1 1 1
30.67, 2.915, 38, 1 0 2
31.76, 2.817, 95, 3 1 0
31.90, 2.805, 19, 2 2 1
33.49, 2.676, 18, 3 0 1
36.85, 2.439, 100, 1 2 2
59.96, 1.543, 19, 0 0 4



(2)
This entry pairs a crystal structure of Nd3Zn2Pt6 with its computed powder diffractogram. Radiation: λ = 1.5418 Å (Cu Kα). Structure: a DFT-relaxed cell (PBE, Alexandria).

Unit cell a=9.6603 b=9.6603 c=9.6603 alpha=90.00 beta=90.00 gamma=90.00
Space group Im-3m (No. 229)
One atom of each set of equivalent atoms:
Nd 0.0000 0.0000 0.3013 x12
Zn 0.2500 0.2500 0.2500 x8
Pt 0.0000 0.3261 0.3261 x24

Main lines, sorted by position (2θ = 15–90°):
Position (°2θ), d [Å], I/Imax, hkl
29.23, 3.055, 12, 3 1 0
34.75, 2.582, 27, 3 2 1
37.23, 2.415, 9, 4 0 0
39.58, 2.277, 100, 3 3 0
57.22, 1.610, 13, 6 0 0
58.94, 1.567, 14, 5 3 2
71.81, 1.315, 30, 6 3 3
85.24, 1.138, 11, 6 6 0



(3)
This entry pairs a crystal structure of KSb5S8 with its computed powder diffractogram. Radiation: λ = 1.5418 Å (Cu Kα). Structure: a DFT-relaxed cell (PBE, Alexandria).

Unit cell a=8.6512 b=19.7192 c=12.5757 alpha=90.00 beta=133.32 gamma=90.00
Space group Pc (No. 7)
One atom of each set of equivalent atoms:
K 0.0000 0.0505 0.0000 x2
K 0.0608 0.4465 0.2640 x2
Sb 0.0798 0.1298 0.7384 x2
Sb 0.2785 0.2621 0.2596 x2
Sb 0.2840 0.2302 0.5653 x2
Sb 0.4354 0.3692 0.0605 x2
Sb 0.4977 0.4607 0.7182 x2
Sb 0.5116 0.0448 0.4687 x2
Sb 0.6797 0.1530 0.3018 x2
Sb 0.7035 0.2159 0.0118 x2
Sb 0.8673 0.2868 0.8166 x2
Sb 0.9328 0.3505 0.5378 x2
S 0.0530 0.3968 0.8506 x2
S 0.0603 0.1623 0.2226 x2
S 0.0790 0.1117 0.5436 x2
S 0.1011 0.4600 0.5541 x2
S 0.2616 0.2784 0.7369 x2
S 0.3023 0.2268 0.0850 x2
S 0.4411 0.0824 0.9597 x2
S 0.4734 0.4048 0.2652 x2
S 0.5101 0.3405 0.6062 x2
S 0.5226 0.0374 0.2787 x2
S 0.5295 0.4917 0.0513 x2
S 0.6456 0.1975 0.4699 x2
S 0.6556 0.1685 0.8116 x2
S 0.8729 0.3235 0.0124 x2
S 0.8928 0.0192 0.6912 x2
S 0.9165 0.2934 0.3544 x2

Main lines, sorted by position (2θ = 15–90°):
Position (°2θ), d [Å], I/Imax, hkl
16.94, 5.234, 41, 1 3 -1
22.44, 3.962, 43, 1 1 1
23.74, 3.748, 42, 1 2 1
24.81, 3.589, 55, 1 5 -1
27.43, 3.251, 48, 2 4 -2
29.84, 2.995, 100, 2 2 -4
37.49, 2.399, 59, 0 7 2
46.35, 1.959, 39, 3 6 -1



(4)
This entry pairs a crystal structure of PuCd11Pd with its computed powder diffractogram. Radiation: λ = 1.5418 Å (Cu Kα). Structure: a DFT-relaxed cell (PBE, Alexandria).

Unit cell a=5.6301 b=14.3844 c=7.6602 alpha=90.00 beta=111.08 gamma=90.00
Space group C2/m (No. 12)
One atom of each set of equivalent atoms:
Pu 0.0000 0.0000 0.0000 x2
Cd 0.0000 0.0000 0.5000 x2
Cd 0.0983 0.3973 0.2133 x8
Cd 0.1888 0.1698 0.3573 x8
Cd 0.2500 0.2500 0.0000 x4
Pd 0.0000 0.5000 0.5000 x2

Main lines, sorted by position (2θ = 15–90°):
Position (°2θ), d [Å], I/Imax, hkl
30.77, 2.906, 33, 1 3 1
30.94, 2.890, 34, 1 3 -2
35.41, 2.535, 73, 0 4 2
35.62, 2.520, 100, 1 1 2
35.89, 2.502, 34, 1 1 -3
36.41, 2.467, 48, 2 2 0
36.61, 2.455, 39, 2 2 -2
40.69, 2.218, 36, 2 4 -1



(5)
This entry pairs a crystal structure of LaEr5Ru4 with its computed powder diffractogram. Radiation: λ = 1.5418 Å (Cu Kα). Structure: a DFT-relaxed cell (PBE, Alexandria).

Unit cell a=3.3842 b=3.3842 c=19.4079 alpha=90.00 beta=90.00 gamma=90.00
Space group P4/mmm (No. 123)
One atom of each set of equivalent atoms:
La 0.0000 0.0000 0.0000 x1
Er 0.5000 0.5000 0.1554 x2
Er 0.5000 0.5000 0.3274 x2
Er 0.5000 0.5000 0.5000 x1
Ru 0.0000 0.0000 0.2354 x2
Ru 0.0000 0.0000 0.4129 x2

Main lines, sorted by position (2θ = 15–90°):
Position (°2θ), d [Å], I/Imax, hkl
32.25, 2.776, 26, 1 0 4
35.18, 2.551, 66, 1 0 5
37.59, 2.393, 95, 1 1 0
38.50, 2.338, 100, 1 0 6
54.21, 1.692, 33, 2 0 0
66.29, 1.410, 21, 2 1 5
68.44, 1.371, 37, 2 1 6
70.24, 1.340, 20, 1 1 12



(6)
This entry pairs a crystal structure of Pr7Tl3C2 with its computed powder diffractogram. Radiation: λ = 1.5418 Å (Cu Kα). Structure: a DFT-relaxed cell (PBE, Alexandria).

Unit cell a=5.1988 b=25.1721 c=5.1636 alpha=90.00 beta=90.00 gamma=90.00
Space group Cmmm (No. 65)
One atom of each set of equivalent atoms:
Pr 0.0000 0.0000 0.0000 x2
Pr 0.0000 0.0991 0.5000 x4
Pr 0.0000 0.2020 0.0000 x4
Pr 0.0000 0.3989 0.0000 x4
Tl 0.0000 0.3017 0.5000 x4
Tl 0.0000 0.5000 0.5000 x2
C 0.0000 0.1059 0.0000 x4

Main lines, sorted by position (2θ = 15–90°):
Position (°2θ), d [Å], I/Imax, hkl
30.17, 2.962, 100, 1 5 1
34.50, 2.599, 19, 2 0 0
34.75, 2.582, 18, 0 0 2
35.67, 2.517, 17, 0 10 0
49.78, 1.832, 13, 2 0 2
59.16, 1.562, 15, 3 5 1
59.48, 1.554, 15, 1 5 3
60.70, 1.526, 14, 1 15 1



(7)
This entry pairs a crystal structure of Pa3Mn2Si2 with its computed powder diffractogram. Radiation: λ = 1.5418 Å (Cu Kα). Structure: a DFT-relaxed cell (PBE, Alexandria).

Unit cell a=5.4439 b=7.7905 c=12.1366 alpha=90.00 beta=90.00 gamma=90.00
Space group Pbcm (No. 57)
One atom of each set of equivalent atoms:
Pa 0.1204 0.2274 0.2500 x4
Pa 0.3321 0.5947 0.0975 x8
Mn 0.1599 0.5379 0.5789 x8
Si 0.1387 0.2500 0.0000 x4
Si 0.3740 0.6118 0.7500 x4

Main lines, sorted by position (2θ = 15–90°):
Position (°2θ), d [Å], I/Imax, hkl
24.77, 3.595, 60, 1 1 2
27.20, 3.278, 50, 0 2 2
29.81, 2.997, 61, 1 1 3
31.89, 2.807, 55, 0 2 3
34.92, 2.570, 65, 2 1 0
35.76, 2.511, 100, 1 1 4
38.41, 2.344, 93, 1 3 0
41.64, 2.169, 59, 2 1 3



(8)
This entry pairs a crystal structure of AcPrTeS with its computed powder diffractogram. Radiation: λ = 1.5418 Å (Cu Kα). Structure: a DFT-relaxed cell (PBE, Alexandria).

Unit cell a=5.0061 b=5.0061 c=10.5632 alpha=90.00 beta=90.00 gamma=90.00
Space group P4/nmm (No. 129, origin choice 2)
One atom of each set of equivalent atoms:
Ac 0.2500 0.2500 0.1423 x2
Pr 0.2500 0.7500 0.5000 x2
Te 0.2500 0.2500 0.6964 x2
S 0.2500 0.7500 0.0000 x2

Main lines, sorted by position (2θ = 15–90°):
Position (°2θ), d [Å], I/Imax, hkl
24.50, 3.633, 100, 1 0 2
26.56, 3.356, 40, 1 1 1
30.40, 2.941, 70, 1 1 2
35.88, 2.503, 59, 2 0 0
42.73, 2.116, 38, 1 1 4
43.93, 2.061, 43, 2 1 2
51.64, 1.770, 21, 2 2 0
69.21, 1.358, 21, 3 1 4



(9)
This entry pairs a crystal structure of Ca3Zn2Cd9 with its computed powder diffractogram. Radiation: λ = 1.5418 Å (Cu Kα). Structure: a DFT-relaxed cell (PBE, Alexandria).

Unit cell a=4.7117 b=10.9939 c=12.9581 alpha=90.00 beta=90.00 gamma=90.00
Space group Immm (No. 71)
One atom of each set of equivalent atoms:
Ca 0.0000 0.0000 0.0000 x2
Ca 0.0000 0.0000 0.2979 x4
Zn 0.0000 0.1712 0.5000 x4
Cd 0.0000 0.2803 0.1340 x8
Cd 0.0000 0.3687 0.3554 x8
Cd 0.0000 0.5000 0.0000 x2

Main lines, sorted by position (2θ = 15–90°):
Position (°2θ), d [Å], I/Imax, hkl
20.51, 4.331, 41, 1 1 0
32.06, 2.792, 52, 0 2 4
32.50, 2.755, 100, 1 2 3
33.94, 2.641, 37, 1 3 2
38.20, 2.356, 71, 2 0 0
38.55, 2.335, 77, 1 4 1
41.86, 2.158, 91, 0 0 6
63.75, 1.460, 38, 1 4 7



(10)
This entry pairs a crystal structure of CrFePt2 with its computed powder diffractogram. Radiation: λ = 1.5418 Å (Cu Kα). Structure: a DFT-relaxed cell (PBE, Alexandria).

Unit cell a=3.8099 b=3.8099 c=7.8270 alpha=90.00 beta=90.00 gamma=90.00
Space group I-4m2 (No. 119)
One atom of each set of equivalent atoms:
Cr 0.0000 0.0000 0.0000 x2
Fe 0.0000 0.5000 0.2500 x2
Pt 0.0000 0.0000 0.5000 x2
Pt 0.0000 0.5000 0.7500 x2

Main lines, sorted by position (2θ = 15–90°):
Position (°2θ), d [Å], I/Imax, hkl
26.01, 3.426, 47, 1 0 1
40.66, 2.219, 100, 1 1 2
41.97, 2.153, 14, 1 0 3
46.40, 1.957, 17, 0 0 4
47.74, 1.905, 31, 2 0 0
55.17, 1.665, 13, 2 1 1
68.78, 1.365, 21, 2 0 4
84.06, 1.151, 24, 3 1 2



(11)
This entry pairs a crystal structure of Tl2AgP2S6 with its computed powder diffractogram. Radiation: λ = 1.5418 Å (Cu Kα). Structure: a DFT-relaxed cell (PBE, Alexandria).

Unit cell a=6.8167 b=6.8167 c=21.0563 alpha=90.00 beta=90.00 gamma=120.00
Space group R-3m (No. 166, hexagonal axes)
One atom of each set of equivalent atoms:
Tl 0.0000 0.0000 0.2258 x6
Ag 0.0000 0.0000 0.0000 x3
P 0.0000 0.0000 0.4367 x6
S 0.0026 0.5013 0.7557 x18

Main lines, sorted by position (2θ = 15–90°):
Position (°2θ), d [Å], I/Imax, hkl
22.63, 3.929, 75, 1 0 4
25.99, 3.428, 63, 0 1 5
26.15, 3.408, 100, 1 1 0
31.48, 2.842, 44, 2 0 2
34.85, 2.575, 75, 0 2 4
46.08, 1.970, 50, 3 0 0
47.12, 1.929, 46, 1 1 9
53.80, 1.704, 32, 2 2 0